Structure and calculated X-ray diffraction stick pattern of SiNiPt (a crystal structure in Alexandria, relaxed with PBE; CuKα).

Main lines, in order of rising 2θ (2θ = 10–80°):
hkl, Position (°2θ), I/Imax
1 1 0, 24.88, 59.9
2 0 0, 25.03, 44.8
1 1 1, 31.31, 100.0
2 0 -2, 36.85, 55.8
3 1 -1, 44.00, 98.0
0 2 1, 46.93, 61.5

Structural model:
```
SiNiPt
1.0
7.288 0.000 0.000
0.000 4.140 0.000
-1.211 0.000 5.475
Si Ni Pt
4 4 4
Direct
0.000 0.133 0.000
0.000 0.867 0.500
0.500 0.367 0.500
0.500 0.633 0.000
0.359 0.144 0.108
0.359 0.856 0.608
0.859 0.356 0.608
0.859 0.644 0.108
0.150 0.359 0.397
0.150 0.641 0.897
0.650 0.141 0.897
0.650 0.859 0.397
```